Starting from a GGA+U-relaxed structure, the XRD peak list of MnTlO2 was computed for Cu Kα (λ = 1.5418 Å).
Intensities are scaled so that the largest is 100.

Most intense lines, 2θ = 10–90°, by intensity:
(0 1 -1), 20.88°, I = 100; (0 1 1), 19.75°, I = 91; (0 1 2), 26.78°, I = 80; (1 0 -1), 31.02°, I = 79; (0 2 0), 34.94°, I = 75; (0 1 -2), 28.47°, I = 62; (0 0 3), 32.38°, I = 58; (0 2 -3), 49.88°, I = 57; (1 1 1), 31.17°, I = 56; (1 0 2), 32.52°, I = 47

a b c (Å): 3.2988 5.1843 8.4069
angles (deg): 85.56 81.34 83.46
Element x y z (fractional)
Mn1 0.0000 0.0000 0.0000
Mn2 0.4603 0.4895 0.0293
Tl1 0.3526 0.0673 0.3634
Tl2 0.7450 0.5381 0.6649
O1 0.1072 0.6823 0.8803
O2 0.3835 0.8116 0.1355
O3 0.5813 0.2018 0.8858
O4 0.8764 0.2882 0.1498